1.
Computed powder diffraction line list
Compound: Cs2LiAuF6
Radiation: λ = 1.5418 Å (Cu Kα)
Structure: a DFT-relaxed cell (GGA-PBE, the Materials Project)
No peak broadening, texture or thermal motion is included.

```
data_Cs2LiAuF6
_cell_length_a 6.254
_cell_length_b 6.254
_cell_length_c 6.254
_cell_angle_alpha 60.00
_cell_angle_beta 60.00
_cell_angle_gamma 60.00
_symmetry_space_group_name_H-M 'P 1'
_symmetry_Int_Tables_number 1
loop_
_symmetry_equiv_pos_as_xyz
'x,y,z'
loop_
_atom_site_label
_atom_site_type_symbol
_atom_site_fract_x
_atom_site_fract_y
_atom_site_fract_z
Cs1 Cs 0.250 0.250 0.250
Cs2 Cs 0.750 0.750 0.750
Li1 Li 0.000 0.000 0.000
Au1 Au 0.500 0.500 0.500
F1 F 0.253 0.253 0.747
F2 F 0.253 0.747 0.253
F3 F 0.253 0.747 0.747
F4 F 0.747 0.253 0.253
F5 F 0.747 0.253 0.747
F6 F 0.747 0.747 0.253
```

Top 8 peaks for 10 to 80 degrees two-theta, sorted by position:
2θ/deg  I_rel
17.4  45
28.5  100
33.6  27
40.8  36
44.7  12
50.6  42
59.1  23
66.9  19

2.
Computed powder diffraction line list
Compound: Cs2NbAuF6
Radiation: λ = 1.5418 Å (Cu Kα)
Structure: a DFT-relaxed cell (GGA-PBE, the Materials Project)
No peak broadening, texture or thermal motion is included.

```
data_Cs2NbAuF6
_cell_length_a 7.112
_cell_length_b 7.112
_cell_length_c 7.112
_cell_angle_alpha 60.00
_cell_angle_beta 60.00
_cell_angle_gamma 60.00
_symmetry_space_group_name_H-M 'P 1'
_symmetry_Int_Tables_number 1
loop_
_symmetry_equiv_pos_as_xyz
'x,y,z'
loop_
_atom_site_label
_atom_site_type_symbol
_atom_site_fract_x
_atom_site_fract_y
_atom_site_fract_z
Cs1 Cs 0.250 0.250 0.250
Cs2 Cs 0.750 0.750 0.750
Nb1 Nb 0.000 0.000 0.000
Au1 Au 0.500 0.500 0.500
F1 F 0.193 0.193 0.807
F2 F 0.193 0.807 0.193
F3 F 0.193 0.807 0.807
F4 F 0.807 0.193 0.193
F5 F 0.807 0.193 0.807
F6 F 0.807 0.807 0.193
```

Top 8 peaks for 10 to 80 degrees two-theta, sorted by position:
2θ/deg  I_rel
25.0  100
29.5  5
35.7  28
39.0  6
44.1  39
51.4  18
58.0  23
70.0  24